Record 1
Theoretical powder XRD pattern of TlCu3Ag2F8 for Cu Kα, 1.54184 Å, from a cell relaxed with GGA-PBE.
Lines closer than 0.1° are merged.

Top 8 peaks for 10° ≤ 2θ ≤ 80°, by angle:
| d (Å) | Position (°2θ) | intensity | index |
| --- | --- | --- | --- |
| 3.740 | 23.8 | 57.2 | 1 -1 0 |
| 3.461 | 25.7 | 69.3 | 1 0 -1 |
| 3.165 | 28.2 | 91.5 | -1 1 1 |
| 3.092 | 28.9 | 71.6 | 1 -1 1 |
| 3.061 | 29.2 | 71.8 | 2 1 1 |
| 2.879 | 31.1 | 100.0 | 1 2 2 |
| 2.825 | 31.7 | 70.4 | 1 1 -1 |
| 2.569 | 34.9 | 68.2 | 2 2 1 |

Cell and atoms:
Lattice parameters (Å, degrees): 6.1899 6.6918 6.7857 62.58 65.28 71.18
Fractional positions:
1 Tl 0.0000 0.0000 0.0000
2 Cu 0.0500 0.6052 0.6119
3 Cu 0.5514 0.6041 0.6081
4 Cu 0.5869 0.5715 0.1180
5 Ag 0.1774 0.1988 0.2142
6 Ag 0.5672 0.0919 0.6381
7 F 0.2898 0.4038 0.7835
8 F 0.3117 0.7982 0.4292
9 F 0.3726 0.3468 0.3349
10 F 0.3923 0.7294 0.9119
11 F 0.7850 0.4120 0.3211
12 F 0.7953 0.4084 0.7774
13 F 0.7950 0.8064 0.9044
14 F 0.8082 0.8066 0.4427

---

Record 2
Theoretical powder XRD pattern of Ho3Pa2Co3 for Cu Kα, 1.54184 Å, from a cell relaxed with GGA-PBE.
Lines closer than 0.1° are merged.

Top 8 peaks for 10° ≤ 2θ ≤ 80°, by angle:
| d (Å) | Position (°2θ) | intensity | index |
| --- | --- | --- | --- |
| 2.900 | 30.8 | 50.7 | 2 1 1 |
| 2.628 | 34.1 | 25.6 | 0 5 1 |
| 2.503 | 35.9 | 100.0 | 2 3 1 |
| 2.450 | 36.7 | 27.3 | 2 0 2 |
| 2.433 | 36.9 | 43.7 | 1 5 1 |
| 2.384 | 37.7 | 50.7 | 1 4 2 |
| 2.308 | 39.0 | 37.9 | 1 1 3 |
| 2.212 | 40.8 | 38.9 | 0 3 3 |

Cell and atoms:
Lattice parameters (Å, degrees): 6.4490 14.0176 7.5350 90.00 90.00 90.00
Fractional positions:
1 Ho 0.0002 0.0811 0.2355
2 Ho 0.0002 0.4189 0.2355
3 Ho 0.9998 0.5811 0.7645
4 Ho 0.9998 0.9189 0.7645
5 Ho 0.2356 0.2500 0.4886
6 Ho 0.2644 0.7500 0.9886
7 Ho 0.5002 0.0811 0.2645
8 Ho 0.5002 0.4189 0.2645
9 Ho 0.4998 0.5811 0.7355
10 Ho 0.4998 0.9189 0.7355
11 Ho 0.7356 0.2500 0.0114
12 Ho 0.7644 0.7500 0.5114
13 Pa 0.2467 0.6287 0.3643
14 Pa 0.2467 0.8713 0.3643
15 Pa 0.2533 0.1287 0.8643
16 Pa 0.2533 0.3713 0.8643
17 Pa 0.7467 0.6287 0.1357
18 Pa 0.7467 0.8713 0.1357
19 Pa 0.7533 0.1287 0.6357
20 Pa 0.7533 0.3713 0.6357
21 Co 0.2192 0.0581 0.5860
22 Co 0.2192 0.4419 0.5860
23 Co 0.2458 0.7500 0.5977
24 Co 0.2542 0.2500 0.0977
25 Co 0.2808 0.5581 0.0860
26 Co 0.2808 0.9419 0.0860
27 Co 0.7192 0.0581 0.9140
28 Co 0.7192 0.4419 0.9140
29 Co 0.7458 0.7500 0.9023
30 Co 0.7542 0.2500 0.4023
31 Co 0.7808 0.5581 0.4140
32 Co 0.7808 0.9419 0.4140